[1]
The following is a calculated powder X-ray diffraction pattern of LaDyNi17. It was derived from DFT lattice parameters and positions (GGA-PBE), using Cu Kα X-rays.
Kinematic intensities with the Lorentz-polarization factor, no thermal factor.

Structure:
```
data_LaDyNi17
_symmetry_space_group_name_H-M 'R 3 m'
_symmetry_Int_Tables_number 160
_symmetry_space_group_name_Hall 'R 3 -2"'
_cell_length_a 8.3417
_cell_length_b 8.3417
_cell_length_c 12.1206
_cell_angle_alpha 90.00
_cell_angle_beta 90.00
_cell_angle_gamma 120.00
loop_
_atom_site_label
_atom_site_type_symbol
_atom_site_fract_x
_atom_site_fract_y
_atom_site_fract_z
La1 La 0.0000 0.0000 0.0000
Dy1 Dy 0.0000 0.0000 0.6801
Ni1 Ni 0.0000 0.0000 0.2445
Ni2 Ni 0.0000 0.0000 0.4418
Ni3 Ni 0.0012 0.2913 0.3422
Ni4 Ni 0.0037 0.5019 0.1868
Ni5 Ni 0.1670 0.3340 0.8292
Ni6 Ni 0.1674 0.3348 0.1761
```

Main lines, by angle (2θ = 10–90°):
two_theta, d/Å, intensity
30.8, 2.902, 33
37.3, 2.408, 40
38.8, 2.321, 28
43.4, 2.085, 65
43.8, 2.069, 100
44.9, 2.020, 33

[2]
The following is a calculated powder X-ray diffraction pattern of LaDyZnNi. It was derived from DFT lattice parameters and positions (GGA-PBE), using Cu Kα X-rays.
Kinematic intensities with the Lorentz-polarization factor, no thermal factor.

Structure:
```
data_LaDyZnNi
_symmetry_space_group_name_H-M 'F -4 3 m'
_symmetry_Int_Tables_number 216
_symmetry_space_group_name_Hall 'F -4 2 3'
_cell_length_a 7.1441
_cell_length_b 7.1441
_cell_length_c 7.1441
_cell_angle_alpha 90.00
_cell_angle_beta 90.00
_cell_angle_gamma 90.00
loop_
_atom_site_label
_atom_site_type_symbol
_atom_site_fract_x
_atom_site_fract_y
_atom_site_fract_z
La1 La 0.0000 0.0000 0.0000
Dy1 Dy 0.0000 0.0000 0.5000
Zn1 Zn 0.2500 0.2500 0.7500
Ni1 Ni 0.2500 0.2500 0.2500
```

Main lines, by angle (2θ = 10–90°):
two_theta, d/Å, intensity
24.9, 3.572, 17
35.5, 2.526, 100
51.1, 1.786, 17
63.8, 1.458, 35
75.2, 1.263, 11
86.1, 1.130, 15

[3]
The following is a calculated powder X-ray diffraction pattern of LaDyS2O. It was derived from DFT lattice parameters and positions (GGA-PBE), using Cu Kα X-rays.
Kinematic intensities with the Lorentz-polarization factor, no thermal factor.

Structure:
```
data_LaDyS2O
_symmetry_space_group_name_H-M 'P 4/n m m'
_symmetry_Int_Tables_number 129
_cell_length_a 3.9831
_cell_length_b 3.9831
_cell_length_c 14.0386
_cell_angle_alpha 90.00
_cell_angle_beta 90.00
_cell_angle_gamma 90.00
loop_
_symmetry_equiv_pos_as_xyz
'x,y,z'
'-x,-y,-z'
'-y+1/2,x,z'
'y+1/2,-x,-z'
'-x+1/2,-y+1/2,z'
'x+1/2,y+1/2,-z'
'y,-x+1/2,z'
'-y,x+1/2,-z'
'x+1/2,-y,-z'
'-x+1/2,y,z'
'-y,-x,-z'
'y,x,z'
'-x,y+1/2,-z'
'x,-y+1/2,z'
'y+1/2,x+1/2,-z'
'-y+1/2,-x+1/2,z'
loop_
_atom_site_label
_atom_site_type_symbol
_atom_site_fract_x
_atom_site_fract_y
_atom_site_fract_z
La1 La 0.2500 0.2500 0.0908
Dy1 Dy 0.2500 0.2500 0.6198
S1 S 0.2500 0.2500 0.4095
S2 S 0.2500 0.2500 0.7974
O1 O 0.2500 0.7500 0.0000
```

Main lines, by angle (2θ = 10–90°):
two_theta, d/Å, intensity
25.4, 3.510, 27
25.7, 3.464, 100
31.8, 2.816, 65
41.1, 2.197, 40
45.6, 1.991, 29
53.0, 1.727, 29

Please write out number 2 again, unchanged.
The following is a calculated powder X-ray diffraction pattern of LaDyZnNi. It was derived from DFT lattice parameters and positions (GGA-PBE), using Cu Kα X-rays.
Kinematic intensities with the Lorentz-polarization factor, no thermal factor.

Structure:
```
data_LaDyZnNi
_symmetry_space_group_name_H-M 'F -4 3 m'
_symmetry_Int_Tables_number 216
_symmetry_space_group_name_Hall 'F -4 2 3'
_cell_length_a 7.1441
_cell_length_b 7.1441
_cell_length_c 7.1441
_cell_angle_alpha 90.00
_cell_angle_beta 90.00
_cell_angle_gamma 90.00
loop_
_atom_site_label
_atom_site_type_symbol
_atom_site_fract_x
_atom_site_fract_y
_atom_site_fract_z
La1 La 0.0000 0.0000 0.0000
Dy1 Dy 0.0000 0.0000 0.5000
Zn1 Zn 0.2500 0.2500 0.7500
Ni1 Ni 0.2500 0.2500 0.2500
```

Main lines, by angle (2θ = 10–90°):
two_theta, d/Å, intensity
24.9, 3.572, 17
35.5, 2.526, 100
51.1, 1.786, 17
63.8, 1.458, 35
75.2, 1.263, 11
86.1, 1.130, 15

Copy entry 3 word for word.
The following is a calculated powder X-ray diffraction pattern of LaDyS2O. It was derived from DFT lattice parameters and positions (GGA-PBE), using Cu Kα X-rays.
Kinematic intensities with the Lorentz-polarization factor, no thermal factor.

Structure:
```
data_LaDyS2O
_symmetry_space_group_name_H-M 'P 4/n m m'
_symmetry_Int_Tables_number 129
_cell_length_a 3.9831
_cell_length_b 3.9831
_cell_length_c 14.0386
_cell_angle_alpha 90.00
_cell_angle_beta 90.00
_cell_angle_gamma 90.00
loop_
_symmetry_equiv_pos_as_xyz
'x,y,z'
'-x,-y,-z'
'-y+1/2,x,z'
'y+1/2,-x,-z'
'-x+1/2,-y+1/2,z'
'x+1/2,y+1/2,-z'
'y,-x+1/2,z'
'-y,x+1/2,-z'
'x+1/2,-y,-z'
'-x+1/2,y,z'
'-y,-x,-z'
'y,x,z'
'-x,y+1/2,-z'
'x,-y+1/2,z'
'y+1/2,x+1/2,-z'
'-y+1/2,-x+1/2,z'
loop_
_atom_site_label
_atom_site_type_symbol
_atom_site_fract_x
_atom_site_fract_y
_atom_site_fract_z
La1 La 0.2500 0.2500 0.0908
Dy1 Dy 0.2500 0.2500 0.6198
S1 S 0.2500 0.2500 0.4095
S2 S 0.2500 0.2500 0.7974
O1 O 0.2500 0.7500 0.0000
```

Main lines, by angle (2θ = 10–90°):
two_theta, d/Å, intensity
25.4, 3.510, 27
25.7, 3.464, 100
31.8, 2.816, 65
41.1, 2.197, 40
45.6, 1.991, 29
53.0, 1.727, 29